The following is a simulated X-ray powder pattern of NpHgBO5. It was derived from a cell relaxed with GGA-PBE, using CuKα.

Structural model:
a b c (Å): 5.6091 5.6091 8.0231
angles (deg): 106.99 106.99 97.46
Atoms (fractional coordinates):
Np1 0.0000 0.5000 0.0000
Np2 0.5000 0.0000 0.5000
Hg1 0.0956 0.9044 0.7500
Hg2 0.9044 0.0956 0.2500
B1 0.4307 0.5693 0.7500
B2 0.5693 0.4307 0.2500
O1 0.1518 0.8482 0.2500
O2 0.2674 0.6218 0.8677
O3 0.2906 0.3597 0.1338
O4 0.3597 0.2906 0.6338
O5 0.3782 0.7326 0.6323
O6 0.6218 0.2674 0.3677
O7 0.6403 0.7094 0.3662
O8 0.7094 0.6403 0.8662
O9 0.7326 0.3782 0.1323
O10 0.8482 0.1518 0.7500

The 12 most intense peaks (2θ from 5° to 70°), sorted by position:
d_spacing, I_rel
5.214, 30
5.161, 24
3.659, 100
3.637, 17
3.263, 61
2.736, 33
2.607, 23
2.581, 51
2.540, 27
2.343, 26
1.779, 17
1.720, 17



The following is a simulated X-ray powder pattern of CuAgHg2F8. It was derived from a cell relaxed with GGA-PBE, using CuKα.

Structural model:
a b c (Å): 4.1759 5.5686 7.6233
angles (deg): 87.26 88.42 85.30
Atoms (fractional coordinates):
Cu1 0.0000 0.0000 0.0000
Ag1 0.0000 0.0000 0.5000
Hg1 0.4246 0.4900 0.7550
Hg2 0.5754 0.5100 0.2450
F1 0.0921 0.3463 0.2545
F2 0.1240 0.1237 0.7743
F3 0.3548 0.7621 0.0019
F4 0.4092 0.7530 0.4842
F5 0.5908 0.2470 0.5158
F6 0.6452 0.2379 0.9981
F7 0.8760 0.8763 0.2257
F8 0.9079 0.6537 0.7455

The 12 most intense peaks (2θ from 5° to 70°), sorted by position:
d_spacing, I_rel
5.544, 22
3.465, 53
3.207, 100
3.073, 44
2.842, 21
2.773, 40
2.080, 25
1.982, 13
1.942, 14
1.902, 30
1.703, 13
1.641, 15



The following is a simulated X-ray powder pattern of Ba2Li2Ir. It was derived from a cell relaxed with GGA-PBE, using CuKα.

Structural model:
a b c (Å): 5.0650 5.1128 11.0999
angles (deg): 90.00 90.00 90.00
Atoms (fractional coordinates):
Ba1 0.0000 0.0000 0.1732
Ba2 0.0000 0.0000 0.8268
Ba3 0.5000 0.5000 0.3268
Ba4 0.5000 0.5000 0.6732
Li1 0.0000 0.2219 0.5000
Li2 0.0000 0.7781 0.5000
Li3 0.5000 0.2781 0.0000
Li4 0.5000 0.7219 0.0000
Ir1 0.0000 0.5000 0.0000
Ir2 0.5000 0.0000 0.5000

The 12 most intense peaks (2θ from 5° to 70°), sorted by position:
d_spacing, I_rel
4.608, 100
3.019, 89
2.997, 81
2.556, 24
2.533, 26
2.235, 35
2.197, 25
2.033, 16
1.934, 45
1.799, 17
1.591, 16
1.397, 14



The following is a simulated X-ray powder pattern of Ca2O2F5. It was derived from a cell relaxed with GGA-PBE, using CuKα.

Structural model:
a b c (Å): 7.6427 7.6427 4.5697
angles (deg): 90.41 90.41 32.88
Atoms (fractional coordinates):
Ca1 0.1496 0.1496 0.0037
Ca2 0.8504 0.8504 0.9963
O1 0.4595 0.4595 0.4994
O2 0.5405 0.5405 0.5006
F1 0.0000 0.0000 0.0000
F2 0.1253 0.1253 0.5030
F3 0.3106 0.3106 0.9962
F4 0.6894 0.6894 0.0038
F5 0.8747 0.8747 0.4970

The 12 most intense peaks (2θ from 5° to 70°), sorted by position:
d_spacing, I_rel
4.570, 69
4.149, 55
3.891, 38
3.865, 42
3.665, 38
3.239, 69
3.072, 72
2.443, 34
2.285, 95
2.162, 100
1.885, 49
1.571, 46